# 1
Calculated X-ray powder pattern
Compound: PuPaGaTc
Radiation: Cu Kα (weighted mean of Kα1 and Kα2)
Structure: a PBE-relaxed structure

Most intense lines, 2θ from 10° to 90°, by angle:
2θ (°)	intensity
22.15	1
25.64	24
36.57	100
45.20	8
52.68	18
59.48	11
65.84	37
77.73	11
83.45	6
89.11	17

Crystal structure
Lattice parameters (Å, degrees): 6.9497 6.9497 6.9497 90.00 90.00 90.00
Fractional coordinates of all 16 atoms:
Pu 0.0000 0.0000 0.0000
Pu 0.0000 0.5000 0.5000
Pu 0.5000 0.0000 0.5000
Pu 0.5000 0.5000 0.0000
Pa 0.0000 0.0000 0.5000
Pa 0.0000 0.5000 0.0000
Pa 0.5000 0.0000 0.0000
Pa 0.5000 0.5000 0.5000
Ga 0.2500 0.2500 0.7500
Ga 0.2500 0.7500 0.2500
Ga 0.7500 0.2500 0.2500
Ga 0.7500 0.7500 0.7500
Tc 0.2500 0.2500 0.2500
Tc 0.2500 0.7500 0.7500
Tc 0.7500 0.2500 0.7500
Tc 0.7500 0.7500 0.2500



# 2
Calculated X-ray powder pattern
Compound: Ca2PuTe3
Radiation: Cu Kα (weighted mean of Kα1 and Kα2)
Structure: a PBE-relaxed structure

Most intense lines, 2θ from 10° to 90°, by angle:
2θ (°)	intensity
13.09	14
15.37	20
20.81	10
27.62	10
28.01	100
40.03	76
49.57	27
57.90	13
65.54	29
72.68	17

Crystal structure
Lattice parameters (Å, degrees): 4.4992 6.3709 13.5296 90.00 90.00 90.00
Fractional coordinates of all 12 atoms:
Ca 0.0000 0.0000 0.1668
Ca 0.0000 0.0000 0.8332
Ca 0.5000 0.5000 0.3332
Ca 0.5000 0.5000 0.6668
Pu 0.0000 0.0000 0.5000
Pu 0.5000 0.5000 0.0000
Te 0.0000 0.5000 0.1664
Te 0.0000 0.5000 0.5000
Te 0.0000 0.5000 0.8336
Te 0.5000 0.0000 0.0000
Te 0.5000 0.0000 0.3336
Te 0.5000 0.0000 0.6664



# 3
Calculated X-ray powder pattern
Compound: AcZnTcH6
Radiation: Cu Kα (weighted mean of Kα1 and Kα2)
Structure: a PBE-relaxed structure

Most intense lines, 2θ from 10° to 90°, by angle:
2θ (°)	intensity
21.51	18
28.84	100
37.72	40
38.50	12
48.16	25
54.99	27
62.74	23
63.82	11
87.70	9
88.66	9

Crystal structure
Lattice parameters (Å, degrees): 4.7699 4.7699 4.6768 90.00 90.00 120.00
Fractional coordinates of all 9 atoms:
Ac 0.0000 0.0000 0.0000
Zn 0.3333 0.6667 0.5000
Tc 0.6667 0.3333 0.5000
H 0.5127 0.0253 0.2418
H 0.5127 0.0253 0.7582
H 0.5127 0.4873 0.2418
H 0.5127 0.4873 0.7582
H 0.9747 0.4873 0.2418
H 0.9747 0.4873 0.7582



# 4
Calculated X-ray powder pattern
Compound: ErSc3Cu2
Radiation: Cu Kα (weighted mean of Kα1 and Kα2)
Structure: a PBE-relaxed structure

Most intense lines, 2θ from 10° to 90°, by angle:
2θ (°)	intensity
19.67	14
22.46	25
23.74	18
31.66	36
34.12	25
34.50	50
35.38	100
38.37	14
41.31	39
53.14	15

Crystal structure
Lattice parameters (Å, degrees): 3.4471 9.0254 8.2397 90.00 90.00 90.00
Fractional coordinates of all 12 atoms:
Er 0.0000 0.0820 0.0000
Er 0.0000 0.9180 0.5000
Sc 0.0000 0.2934 0.6473
Sc 0.0000 0.7066 0.1473
Sc 0.5000 0.2172 0.3245
Sc 0.5000 0.4276 0.9733
Sc 0.5000 0.5724 0.4733
Sc 0.5000 0.7828 0.8245
Cu 0.0000 0.4260 0.2552
Cu 0.0000 0.5740 0.7552
Cu 0.5000 0.0797 0.7164
Cu 0.5000 0.9203 0.2164



# 5
Calculated X-ray powder pattern
Compound: Sm3PaRh3
Radiation: Cu Kα (weighted mean of Kα1 and Kα2)
Structure: a PBE-relaxed structure

Most intense lines, 2θ from 10° to 90°, by angle:
2θ (°)	intensity
25.81	29
28.99	36
29.44	37
30.13	100
32.70	68
34.00	34
36.26	88
37.26	41
43.43	64
55.05	29

Crystal structure
Lattice parameters (Å, degrees): 12.3280 4.1674 13.4977 90.00 90.00 90.00
Fractional coordinates of all 28 atoms:
Sm 0.0567 0.2500 0.0981
Sm 0.1819 0.7500 0.5108
Sm 0.2475 0.7500 0.8006
Sm 0.2525 0.2500 0.3006
Sm 0.3181 0.2500 0.0108
Sm 0.4433 0.7500 0.5981
Sm 0.5567 0.2500 0.4019
Sm 0.6819 0.7500 0.9892
Sm 0.7475 0.7500 0.6994
Sm 0.7525 0.2500 0.1994
Sm 0.8181 0.2500 0.4892
Sm 0.9433 0.7500 0.9019
Pa 0.0341 0.2500 0.6847
Pa 0.4659 0.7500 0.1847
Pa 0.5341 0.2500 0.8153
Pa 0.9659 0.7500 0.3153
Rh 0.0438 0.2500 0.4195
Rh 0.1008 0.2500 0.8713
Rh 0.2483 0.2500 0.6514
Rh 0.2517 0.7500 0.1514
Rh 0.3992 0.7500 0.3713
Rh 0.4562 0.7500 0.9195
Rh 0.5438 0.2500 0.0805
Rh 0.6008 0.2500 0.6287
Rh 0.7483 0.2500 0.8486
Rh 0.7517 0.7500 0.3486
Rh 0.8992 0.7500 0.1287
Rh 0.9562 0.7500 0.5805



# 6
Calculated X-ray powder pattern
Compound: Li2MnH5
Radiation: Cu Kα (weighted mean of Kα1 and Kα2)
Structure: a PBE-relaxed structure

Most intense lines, 2θ from 10° to 90°, by angle:
2θ (°)	intensity
21.45	100
22.27	49
33.43	15
37.10	11
38.60	29
40.06	47
40.54	26
42.47	14
51.97	11
56.11	12

Crystal structure
Lattice parameters (Å, degrees): 7.9835 5.3612 4.8466 90.00 90.00 90.00
Fractional coordinates of all 32 atoms:
Li 0.1749 0.0051 0.0644
Li 0.1749 0.4949 0.0644
Li 0.3251 0.5051 0.5644
Li 0.3251 0.9949 0.5644
Li 0.6749 0.0051 0.4356
Li 0.6749 0.4949 0.4356
Li 0.8251 0.5051 0.9356
Li 0.8251 0.9949 0.9356
Mn 0.0095 0.2500 0.5546
Mn 0.4905 0.7500 0.0546
Mn 0.5095 0.2500 0.9454
Mn 0.9905 0.7500 0.4454
H 0.0124 0.2500 0.8913
H 0.0676 0.5389 0.6742
H 0.0676 0.9611 0.6742
H 0.1872 0.2500 0.3763
H 0.1889 0.7500 0.3571
H 0.3111 0.2500 0.8571
H 0.3128 0.7500 0.8763
H 0.4324 0.0389 0.1742
H 0.4324 0.4611 0.1742
H 0.4876 0.7500 0.3913
H 0.5124 0.2500 0.6087
H 0.5676 0.5389 0.8258
H 0.5676 0.9611 0.8258
H 0.6872 0.2500 0.1237
H 0.6889 0.7500 0.1429
H 0.8111 0.2500 0.6429
H 0.8128 0.7500 0.6237
H 0.9324 0.0389 0.3258
H 0.9324 0.4611 0.3258
H 0.9876 0.7500 0.1087



# 7
Calculated X-ray powder pattern
Compound: ZnSn2PbBr8
Radiation: Cu Kα (weighted mean of Kα1 and Kα2)
Structure: a PBE-relaxed structure

Most intense lines, 2θ from 10° to 90°, by angle:
2θ (°)	intensity
18.05	91
18.51	100
24.38	63
27.34	62
27.65	68
35.93	89
36.43	89
41.42	42
43.66	44
45.74	53

Crystal structure
Lattice parameters (Å, degrees): 6.6801 7.0695 8.7206 90.03 90.06 91.43
Fractional coordinates of all 12 atoms:
Zn 0.0000 0.0000 0.0000
Sn 0.4999 0.4990 0.7650
Sn 0.5001 0.5010 0.2350
Pb 0.0000 0.0000 0.5000
Br 0.2220 0.1506 0.2149
Br 0.2253 0.1518 0.7835
Br 0.2457 0.6758 0.0002
Br 0.2669 0.6599 0.4995
Br 0.7331 0.3401 0.5005
Br 0.7543 0.3242 0.9998
Br 0.7747 0.8482 0.2165
Br 0.7780 0.8494 0.7851



# 8
Calculated X-ray powder pattern
Compound: NaTb2RhO5
Radiation: Cu Kα (weighted mean of Kα1 and Kα2)
Structure: a PBE-relaxed structure

Most intense lines, 2θ from 10° to 90°, by angle:
2θ (°)	intensity
15.38	62
19.08	46
30.38	35
31.04	43
31.31	100
34.22	86
38.71	21
43.99	63
46.40	41
60.18	25

Crystal structure
Lattice parameters (Å, degrees): 6.5787 6.5787 5.7619 90.00 90.00 90.00
Fractional coordinates of all 18 atoms:
Na 0.0000 0.0000 0.0000
Na 0.5000 0.5000 0.0000
Tb 0.1763 0.3237 0.5000
Tb 0.3237 0.8237 0.5000
Tb 0.6763 0.1763 0.5000
Tb 0.8237 0.6763 0.5000
Rh 0.0000 0.5000 0.0000
Rh 0.5000 0.0000 0.0000
O 0.0000 0.0000 0.5000
O 0.1379 0.6379 0.2554
O 0.1379 0.6379 0.7446
O 0.3621 0.1379 0.2554
O 0.3621 0.1379 0.7446
O 0.5000 0.5000 0.5000
O 0.6379 0.8621 0.2554
O 0.6379 0.8621 0.7446
O 0.8621 0.3621 0.2554
O 0.8621 0.3621 0.7446



# 9
Calculated X-ray powder pattern
Compound: Tb2Fe3B6
Radiation: Cu Kα (weighted mean of Kα1 and Kα2)
Structure: a PBE-relaxed structure

Most intense lines, 2θ from 10° to 90°, by angle:
2θ (°)	intensity
23.58	24
25.30	37
31.09	42
32.45	48
40.50	100
41.59	13
45.47	14
51.94	14
59.51	12
70.10	15

Crystal structure
Lattice parameters (Å, degrees): 5.8313 5.8313 3.5208 90.00 90.00 99.35
Fractional coordinates of all 11 atoms:
Tb 0.2145 0.7855 0.0000
Tb 0.7855 0.2145 0.0000
Fe 0.2932 0.2932 0.0000
Fe 0.5000 0.5000 0.5000
Fe 0.7068 0.7068 0.0000
B 0.1142 0.4190 0.5000
B 0.1197 0.1197 0.5000
B 0.4190 0.1142 0.5000
B 0.5810 0.8858 0.5000
B 0.8803 0.8803 0.5000
B 0.8858 0.5810 0.5000



# 10
Calculated X-ray powder pattern
Compound: HfGa2SnF
Radiation: Cu Kα (weighted mean of Kα1 and Kα2)
Structure: a PBE-relaxed structure

Most intense lines, 2θ from 10° to 90°, by angle:
2θ (°)	intensity
23.84	26
27.30	100
32.22	42
33.97	81
43.51	20
44.11	57
48.80	29
56.32	37
67.43	22
67.87	17

Crystal structure
Lattice parameters (Å, degrees): 5.2782 5.2782 4.1596 90.00 90.00 90.00
Fractional coordinates of all 5 atoms:
Hf 0.0000 0.0000 0.0000
Ga 0.0000 0.5000 0.5000
Ga 0.5000 0.0000 0.5000
Sn 0.5000 0.5000 0.5000
F 0.5000 0.5000 0.0000



# 11
Calculated X-ray powder pattern
Compound: Er4CdSe3
Radiation: Cu Kα (weighted mean of Kα1 and Kα2)
Structure: a PBE-relaxed structure

Most intense lines, 2θ from 10° to 90°, by angle:
2θ (°)	intensity
26.05	14
30.68	51
30.85	100
42.81	20
44.07	75
45.55	17
53.59	21
55.92	19
72.63	17
72.91	17

Crystal structure
Lattice parameters (Å, degrees): 8.4488 11.6559 3.9833 90.00 90.00 90.00
Fractional coordinates of all 16 atoms:
Er 0.0000 0.2488 0.0000
Er 0.0000 0.7512 0.0000
Er 0.2440 0.0000 0.5000
Er 0.2560 0.5000 0.5000
Er 0.5000 0.2512 0.0000
Er 0.5000 0.7488 0.0000
Er 0.7440 0.5000 0.5000
Er 0.7560 0.0000 0.5000
Cd 0.0000 0.5000 0.0000
Cd 0.5000 0.0000 0.0000
Se 0.0000 0.0000 0.0000
Se 0.2500 0.2500 0.5000
Se 0.2500 0.7500 0.5000
Se 0.5000 0.5000 0.0000
Se 0.7500 0.2500 0.5000
Se 0.7500 0.7500 0.5000



# 12
Calculated X-ray powder pattern
Compound: Th5Fe2Bi2
Radiation: Cu Kα (weighted mean of Kα1 and Kα2)
Structure: a PBE-relaxed structure

Most intense lines, 2θ from 10° to 90°, by angle:
2θ (°)	intensity
25.23	37
26.01	34
31.51	35
31.78	100
32.19	32
33.58	49
36.36	43
36.73	41
37.68	37
57.17	46

Crystal structure
Lattice parameters (Å, degrees): 9.0631 9.0631 7.8160 90.00 90.00 51.79
Fractional coordinates of all 18 atoms:
Th 0.0000 0.0000 0.0000
Th 0.0491 0.7279 0.6575
Th 0.2279 0.5491 0.1575
Th 0.2721 0.9509 0.6575
Th 0.4509 0.7721 0.1575
Th 0.5000 0.5000 0.5000
Th 0.5491 0.2279 0.8425
Th 0.7279 0.0491 0.3425
Th 0.7721 0.4509 0.8425
Th 0.9509 0.2721 0.3425
Fe 0.1380 0.8620 0.3569
Fe 0.3620 0.6380 0.8569
Fe 0.6380 0.3620 0.1431
Fe 0.8620 0.1380 0.6431
Bi 0.2109 0.2109 0.0000
Bi 0.2891 0.2891 0.5000
Bi 0.7109 0.7109 0.5000
Bi 0.7891 0.7891 0.0000